Theoretical powder diffractogram of Pr2Ga5Pt3 for Cu Kα (weighted mean of Kα1 and Kα2), from a crystal structure in OQMD, relaxed with PBE.
Lines closer than 0.1° are merged.

Largest 12 diffraction maxima, in order of rising 2θ, 2θ from 5° to 70°:
2theta, I_rel, (hkl)
22.80, 21, 1 3 0
32.24, 17, 1 1 2
33.15, 100, 3 2 1
34.88, 33, 2 0 2
38.45, 12, 4 1 1
41.85, 59, 0 4 2
45.16, 10, 4 4 0
46.48, 15, 4 0 2
48.54, 11, 5 2 1
53.22, 14, 3 6 1
55.53, 16, 3 2 3
62.82, 11, 0 0 4

Crystal structure
Cell lengths 10.411, 12.623, 5.917 Å; angles 90.00, 90.00, 90.00 degrees
Space group Ibam (No. 72)
Unique sites:
Pr (0.227, 0.134, 0.000) [8 per cell]
Ga (0.000, 0.000, 0.250) [4 per cell]
Ga (0.000, 0.283, 0.250) [8 per cell]
Ga (0.159, 0.398, 0.000) [8 per cell]
Pt (0.000, 0.500, 0.250) [4 per cell]
Pt (0.106, 0.141, 0.500) [8 per cell]

=====

Theoretical powder diffractogram of Ta4Sb5Ir5 for Cu Kα (weighted mean of Kα1 and Kα2), from a crystal structure in OQMD, relaxed with PBE.
Lines closer than 0.1° are merged.

Largest 12 diffraction maxima, in order of rising 2θ, 2θ from 5° to 70°:
2theta, I_rel, (hkl)
12.78, 7, 1 1 0
16.82, 7, 1 0 1
18.12, 4, 2 0 0
24.82, 68, 1 2 1
36.05, 6, 2 3 1
41.01, 100, 3 1 2
41.23, 48, 2 4 0
48.34, 13, 1 2 3
48.72, 21, 4 3 1
59.06, 8, 0 0 4
59.72, 15, 6 2 0
65.36, 7, 5 0 3

Crystal structure
Cell lengths 9.793, 9.793, 6.257 Å; angles 90.00, 90.00, 90.00 degrees
Space group I-4 (No. 82)
Unique sites:
Ta (0.097, 0.198, 0.254) [8 per cell]
Sb (0.000, 0.500, 0.250) [2 per cell]
Sb (0.089, 0.219, 0.758) [8 per cell]
Ir (0.000, 0.000, 0.000) [2 per cell]
Ir (0.109, 0.715, 0.475) [8 per cell]

=====

Theoretical powder diffractogram of Pm2GeP for Cu Kα (weighted mean of Kα1 and Kα2), from a crystal structure in OQMD, relaxed with PBE.
Lines closer than 0.1° are merged.

Largest 12 diffraction maxima, in order of rising 2θ, 2θ from 5° to 70°:
2theta, I_rel, (hkl)
26.84, 46, 0 4 1
28.44, 44, 1 5 0
30.56, 100, 1 1 1
31.04, 49, 0 8 0
32.52, 21, 1 3 1
36.16, 19, 1 5 1
41.09, 51, 1 7 1
42.18, 28, 2 0 0
44.59, 24, 0 0 2
46.99, 20, 1 9 1
53.29, 21, 2 8 0
55.32, 19, 0 8 2

Crystal structure
Cell lengths 4.285, 23.050, 4.064 Å; angles 90.00, 90.00, 90.00 degrees
Space group Cmcm (No. 63)
Unique sites:
Pm (0.000, 0.067, 0.250) [4 per cell]
Pm (0.000, 0.311, 0.250) [4 per cell]
Ge (0.000, 0.461, 0.250) [4 per cell]
P (0.000, 0.188, 0.250) [4 per cell]

=====

Theoretical powder diffractogram of AlCdInSe4 for Cu Kα (weighted mean of Kα1 and Kα2), from a crystal structure in OQMD, relaxed with PBE.
Lines closer than 0.1° are merged.

Largest 12 diffraction maxima, in order of rising 2θ, 2θ from 5° to 70°:
2theta, I_rel, (hkl)
22.18, 18, 2 0 0
22.43, 34, 1 1 2
26.12, 60, 2 1 1
26.55, 38, 1 0 3
27.45, 37, 2 0 2
31.56, 51, 2 2 0
32.29, 25, 0 0 4
41.41, 49, 3 2 1
42.28, 20, 1 0 5
45.24, 50, 4 0 0
45.78, 100, 2 2 4
56.67, 15, 4 0 4

Crystal structure
Cell lengths 8.017, 8.017, 11.090 Å; angles 90.00, 90.00, 90.00 degrees
Space group P4_122 (No. 91)
Unique sites:
Al (0.000, 0.250, 0.000) [4 per cell]
Cd (0.251, 0.500, 0.750) [4 per cell]
In (0.243, 0.243, 0.375) [4 per cell]
Se (0.024, 0.233, 0.768) [8 per cell]
Se (0.234, 0.473, 0.003) [8 per cell]

=====

Theoretical powder diffractogram of Cd7In for Cu Kα (weighted mean of Kα1 and Kα2), from a crystal structure in OQMD, relaxed with PBE.
Lines closer than 0.1° are merged.

Largest 8 diffraction maxima, in order of rising 2θ, 2θ from 5° to 70°:
2theta, I_rel, (hkl)
33.04, 23, 2 0 0
33.92, 29, 0 0 2
37.28, 100, 2 0 1
48.08, 16, 2 0 2
59.02, 17, 2 2 0
62.92, 20, 2 0 3
69.33, 3, 4 0 0
69.85, 20, 2 2 2

Crystal structure
Cell lengths 6.2605, 6.2605, 5.2849 Å; angles 90.00, 90.00, 120.00 degrees
Space group P-6m2 (No. 187)
Unique sites:
Cd (0.0000, 0.0000, 0.0000) [1 per cell]
Cd (0.3325, 0.1663, 0.5000) [3 per cell]
Cd (0.5016, 0.0033, 0.0000) [3 per cell]
In (0.3333, 0.6667, 0.5000) [1 per cell]

=====

Theoretical powder diffractogram of WBr6 for Cu Kα (weighted mean of Kα1 and Kα2), from a crystal structure in OQMD, relaxed with PBE.
Lines closer than 0.1° are merged.

Largest 12 diffraction maxima, in order of rising 2θ, 2θ from 5° to 70°:
2theta, I_rel, (hkl)
14.81, 43, 0 0 2
15.39, 23, 1 1 0
17.03, 46, 1 1 -1
17.15, 49, 1 1 1
17.73, 39, 0 2 1
30.26, 56, 2 0 -2
31.44, 19, 1 3 -2
31.58, 100, 1 3 2
41.06, 22, 1 3 -4
41.27, 34, 1 3 4
47.36, 37, 3 3 0
53.94, 25, 1 3 -6

Crystal structure
Cell lengths 6.754, 11.018, 11.961 Å; angles 90.00, 90.62, 90.00 degrees
Space group C2/c (No. 15)
Unique sites:
W (0.000, 0.166, 0.250) [4 per cell]
Br (0.145, 0.325, 0.372) [8 per cell]
Br (0.148, 0.007, 0.371) [8 per cell]
Br (0.197, 0.334, 0.865) [8 per cell]

=====

Theoretical powder diffractogram of Li4HfPbO6 for Cu Kα (weighted mean of Kα1 and Kα2), from a crystal structure in OQMD, relaxed with PBE.
Lines closer than 0.1° are merged.

Largest 12 diffraction maxima, in order of rising 2θ, 2θ from 5° to 70°:
2theta, I_rel, (hkl)
17.81, 100, 0 0 1
19.03, 22, 0 2 0
19.92, 38, 1 1 0
22.43, 29, 1 1 -1
26.17, 21, 0 2 1
33.79, 62, 2 0 -1
35.40, 36, 2 0 0
41.30, 64, 1 3 1
45.31, 27, 1 3 -2
54.86, 17, 1 3 2
59.39, 21, 3 3 -1
60.28, 20, 2 0 2

Crystal structure
Cell lengths 5.397, 9.328, 5.298 Å; angles 90.00, 109.93, 90.00 degrees
Space group C2 (No. 5)
Unique sites:
Li (0.000, 0.000, 0.000) [2 per cell]
Li (0.000, 0.153, 0.500) [2 per cell]
Li (0.000, 0.500, 0.500) [2 per cell]
Li (0.000, 0.845, 0.500) [2 per cell]
Hf (0.000, 0.332, 0.000) [2 per cell]
Pb (0.000, 0.667, 0.000) [2 per cell]
O (0.237, 0.494, 0.245) [4 per cell]
O (0.238, 0.333, 0.760) [4 per cell]
O (0.242, 0.175, 0.243) [4 per cell]

=====

Theoretical powder diffractogram of SrMg2CdSn for Cu Kα (weighted mean of Kα1 and Kα2), from a crystal structure in OQMD, relaxed with PBE.
Lines closer than 0.1° are merged.

Largest 12 diffraction maxima, in order of rising 2θ, 2θ from 5° to 70°:
2theta, I_rel, (hkl)
13.77, 19, 0 0 2
20.39, 46, 1 0 1
27.24, 98, 1 1 0
28.37, 100, 1 0 3
30.64, 65, 1 1 2
38.90, 73, 2 0 0
39.28, 35, 1 1 4
40.11, 91, 1 0 5
48.85, 44, 2 1 3
56.19, 25, 2 2 0
57.11, 64, 2 1 5
63.54, 18, 3 1 0

Crystal structure
Cell lengths 4.630, 4.630, 12.859 Å; angles 90.00, 90.00, 90.00 degrees
Space group I4mm (No. 107)
Unique sites:
Sr (0.000, 0.000, 0.000) [2 per cell]
Mg (0.000, 0.500, 0.258) [4 per cell]
Cd (0.000, 0.000, 0.618) [2 per cell]
Sn (0.000, 0.000, 0.397) [2 per cell]

=====

Theoretical powder diffractogram of Sm4C2I4Cl for Cu Kα (weighted mean of Kα1 and Kα2), from a crystal structure in OQMD, relaxed with PBE.
Lines closer than 0.1° are merged.

Largest 12 diffraction maxima, in order of rising 2θ, 2θ from 5° to 70°:
2theta, I_rel, (hkl)
10.78, 33, 0 0 1
23.01, 19, 1 1 0
27.34, 68, 6 0 0
27.44, 20, 3 1 -1
29.71, 20, 3 1 1
31.11, 100, 1 1 -2
32.22, 17, 5 1 0
35.92, 19, 2 0 3
41.82, 33, 7 1 -2
41.94, 38, 5 1 2
46.04, 19, 0 2 0
54.37, 20, 6 2 0

Crystal structure
Cell lengths 20.037, 3.943, 8.402 Å; angles 90.00, 102.32, 90.00 degrees
Space group C2/m (No. 12)
Unique sites:
Sm (0.000, 0.000, 0.200) [4 per cell]
Sm (0.150, 0.500, 0.079) [4 per cell]
C (0.036, 0.500, 0.018) [4 per cell]
I (0.161, 0.000, 0.365) [4 per cell]
I (0.168, 0.000, 0.805) [4 per cell]
Cl (0.000, 0.500, 0.500) [2 per cell]

=====

Theoretical powder diffractogram of Ba2HfSnN4 for Cu Kα (weighted mean of Kα1 and Kα2), from a crystal structure in OQMD, relaxed with PBE.
Lines closer than 0.1° are merged.

Largest 12 diffraction maxima, in order of rising 2θ, 2θ from 5° to 70°:
2theta, I_rel, (hkl)
10.54, 15, 0 0 1
30.29, 100, 1 0 2
30.46, 63, 1 1 0
38.83, 11, 1 0 3
43.12, 6, 0 0 4
43.61, 28, 2 0 0
53.71, 16, 1 1 4
54.02, 40, 2 1 2
59.79, 6, 2 1 3
63.00, 8, 2 0 4
63.38, 9, 2 2 0
63.90, 6, 1 1 5

Crystal structure
Cell lengths 4.151, 4.151, 8.391 Å; angles 90.00, 90.00, 90.00 degrees
Space group P4mm (No. 99)
Unique sites:
Ba (0.000, 0.000, 0.000) [1 per cell]
Ba (0.500, 0.500, 0.307) [1 per cell]
Hf (0.000, 0.000, 0.563) [1 per cell]
Sn (0.500, 0.500, 0.751) [1 per cell]
N (0.000, 0.000, 0.328) [1 per cell]
N (0.000, 0.500, 0.648) [2 per cell]
N (0.500, 0.500, 0.994) [1 per cell]

=====

Theoretical powder diffractogram of DyTm2In3CuNi2 for Cu Kα (weighted mean of Kα1 and Kα2), from a crystal structure in OQMD, relaxed with PBE.
Lines closer than 0.1° are merged.

Largest 12 diffraction maxima, in order of rising 2θ, 2θ from 5° to 70°:
2theta, I_rel, (hkl)
27.83, 10, 0 2 2
33.78, 100, 1 3 1
36.65, 76, 1 2 2
37.10, 51, 0 5 1
42.28, 23, 0 3 3
44.31, 9, 1 5 1
47.81, 20, 2 0 0
51.38, 16, 0 7 1
57.17, 24, 1 7 1
62.01, 22, 2 5 1
65.70, 12, 2 3 3
68.37, 24, 1 7 3

Crystal structure
Cell lengths 3.805, 12.824, 7.404 Å; angles 90.00, 90.00, 90.00 degrees
Space group Amm2 (No. 38)
Unique sites:
Dy (0.000, 0.000, 0.000) [2 per cell]
Tm (0.000, 0.206, 0.619) [4 per cell]
In (0.500, 0.000, 0.671) [2 per cell]
In (0.500, 0.129, 0.284) [4 per cell]
Cu (0.000, 0.000, 0.413) [2 per cell]
Ni (0.500, 0.167, 0.913) [4 per cell]

=====

Theoretical powder diffractogram of Mg2Sc2TlCuAg2 for Cu Kα (weighted mean of Kα1 and Kα2), from a crystal structure in OQMD, relaxed with PBE.
Lines closer than 0.1° are merged.

Largest 12 diffraction maxima, in order of rising 2θ, 2θ from 5° to 70°:
2theta, I_rel, (hkl)
12.80, 10, 0 0 1
18.69, 12, 1 0 0
25.76, 21, 0 0 2
26.56, 38, 1 1 0
29.58, 10, 1 1 1
37.33, 100, 1 1 2
37.91, 48, 2 0 0
46.40, 17, 2 0 2
52.94, 9, 0 0 4
54.69, 16, 2 2 0
66.95, 16, 2 0 4
68.09, 32, 3 1 2

Crystal structure
Cell lengths 4.747, 4.747, 6.918 Å; angles 90.00, 90.00, 90.00 degrees
Space group P-4m2 (No. 115)
Unique sites:
Mg (0.000, 0.500, 0.232) [2 per cell]
Sc (0.000, 0.500, 0.769) [2 per cell]
Tl (0.000, 0.000, 0.500) [1 per cell]
Cu (0.500, 0.500, 0.000) [1 per cell]
Ag (0.000, 0.000, 0.000) [1 per cell]
Ag (0.500, 0.500, 0.500) [1 per cell]